The following is a calculated powder diffractogram of SrLi6MgZn. It was derived from a PBE-relaxed structure, using Cu Kα, 1.54184 Å.
Neutral-atom scattering factors, no anomalous dispersion.

Principal peaks in the range 10 to 90 degrees two-theta, most intense first:
2θ 14.62, intensity 100
2θ 30.44, intensity 89
2θ 22.46, intensity 76
2θ 28.21, intensity 48
2θ 11.17, intensity 41
2θ 20.96, intensity 33
2θ 35.40, intensity 25
2θ 32.33, intensity 24
2θ 52.80, intensity 23
2θ 34.48, intensity 21

Structural model:
Cell: 8.817 8.817 8.817 Å, 133.94 109.77 88.16°
Positions (direct):
Sr  0.431  0.181  0.250
Sr  0.569  0.819  0.750
Li  0.106  0.424  0.287
Li  0.106  0.819  0.682
Li  0.180  0.930  0.250
Li  0.255  0.505  0.750
Li  0.363  0.181  0.787
Li  0.363  0.576  0.182
Li  0.637  0.424  0.818
Li  0.637  0.819  0.213
Li  0.745  0.495  0.250
Li  0.820  0.070  0.750
Li  0.894  0.181  0.318
Li  0.894  0.576  0.713
Mg  0.000  0.000  0.500
Mg  0.000  0.500  0.000
Zn  0.000  0.000  0.000
Zn  0.500  0.000  0.500